(1)
For Pr3InFeS7, a structure optimized by DFT (PBE) gives the simulated PXRD pattern in this record (CuKα).
Intensities are scaled so that the largest is 100.

The 12 most intense peaks (10° ≤ 2θ ≤ 90°), in order of rising 2θ:
Position (°2θ), Rel. int.
24.79, 100
27.89, 14
33.23, 13
34.00, 23
34.84, 35
35.83, 40
39.34, 15
40.01, 13
44.06, 15
46.01, 14
47.51, 22
50.23, 14

```
data_Pr3InFeS7
_chemical_formula_sum 'Pr6 In2 Fe2 S14'
_space_group_name_H-M_alt 'P 63'
_space_group_IT_number 173
_space_group_name_Hall 'P 6c'
_cell_length_a 10.0241
_cell_length_b 10.0241
_cell_length_c 6.3973
_cell_angle_alpha 90.00
_cell_angle_beta 90.00
_cell_angle_gamma 120.00
loop_
_atom_site_label
_atom_site_type_symbol
_atom_site_fract_x
_atom_site_fract_y
_atom_site_fract_z
Pr1 Pr 0.1538 0.3746 0.0000
In1 In 0.3333 0.6667 0.4298
Fe1 Fe 0.0000 0.0000 0.3182
S1 S 0.0789 0.5651 0.2594
S2 S 0.0968 0.2275 0.5886
S3 S 0.3333 0.6667 0.8077
```

---

(2)
For Fe3Cu2, a structure optimized by DFT (PBE) gives the simulated PXRD pattern in this record (CuKα).
Intensities are scaled so that the largest is 100.

The 12 most intense peaks (10° ≤ 2θ ≤ 90°), in order of rising 2θ:
Position (°2θ), Rel. int.
29.73, 70
36.71, 100
37.36, 58
42.87, 93
45.10, 50
46.72, 71
48.45, 66
52.75, 39
54.95, 64
59.50, 32
70.24, 29
85.47, 35

```
data_Fe3Cu2
_chemical_formula_sum 'Fe18 Cu12'
_space_group_name_H-M_alt 'R -3 c'
_space_group_IT_number 167
_space_group_name_Hall '-R 3 2"c'
_cell_length_a 6.0111
_cell_length_b 6.0111
_cell_length_c 12.6569
_cell_angle_alpha 90.00
_cell_angle_beta 90.00
_cell_angle_gamma 120.00
loop_
_atom_site_label
_atom_site_type_symbol
_atom_site_fract_x
_atom_site_fract_y
_atom_site_fract_z
Fe1 Fe 0.0000 0.2331 0.2500
Cu1 Cu 0.0000 0.0000 0.0894
```

---

(3)
For Y3Ho2Ga3, a structure optimized by DFT (PBE) gives the simulated PXRD pattern in this record (CuKα).
Intensities are scaled so that the largest is 100.

The 12 most intense peaks (10° ≤ 2θ ≤ 90°), in order of rising 2θ:
Position (°2θ), Rel. int.
22.03, 26
29.03, 19
30.14, 71
32.52, 75
33.36, 45
34.35, 100
39.00, 56
41.55, 24
44.93, 47
59.20, 29
60.92, 14
62.70, 19

```
data_Y3Ho2Ga3
_chemical_formula_sum 'Y6 Ho4 Ga6'
_space_group_name_H-M_alt 'A m m 2'
_space_group_IT_number 38
_space_group_name_Hall 'A 2 -2'
_cell_length_a 5.5060
_cell_length_b 7.2974
_cell_length_c 10.1774
_cell_angle_alpha 90.00
_cell_angle_beta 90.00
_cell_angle_gamma 90.00
loop_
_atom_site_label
_atom_site_type_symbol
_atom_site_fract_x
_atom_site_fract_y
_atom_site_fract_z
Y1 Y 0.0000 0.0000 0.0000
Y2 Y 0.5000 0.2488 0.0694
Ho1 Ho 0.0000 0.0000 0.3981
Ho2 Ho 0.5000 0.0000 0.8116
Ga1 Ga 0.0000 0.1754 0.7027
Ga2 Ga 0.5000 0.0000 0.3045
```

---

(4)
For RbTmPbSe3, a structure optimized by DFT (PBE) gives the simulated PXRD pattern in this record (CuKα).
Intensities are scaled so that the largest is 100.

The 12 most intense peaks (10° ≤ 2θ ≤ 90°), in order of rising 2θ:
Position (°2θ), Rel. int.
11.08, 100
22.13, 15
26.37, 45
28.12, 30
30.83, 56
31.32, 27
36.12, 18
37.00, 16
38.37, 11
43.16, 26
50.02, 11
54.30, 12

```
data_RbTmPbSe3
_chemical_formula_sum 'Rb4 Tm4 Pb4 Se12'
_space_group_name_H-M_alt 'P n m a'
_space_group_IT_number 62
_space_group_name_Hall '-P 2ac 2n'
_cell_length_a 15.9650
_cell_length_b 4.1908
_cell_length_c 12.2509
_cell_angle_alpha 90.00
_cell_angle_beta 90.00
_cell_angle_gamma 90.00
loop_
_atom_site_label
_atom_site_type_symbol
_atom_site_fract_x
_atom_site_fract_y
_atom_site_fract_z
Rb1 Rb 0.2337 0.2500 0.0863
Tm1 Tm 0.0046 0.7500 0.6412
Pb1 Pb 0.0429 0.2500 0.9026
Se1 Se 0.0873 0.7500 0.2453
Se2 Se 0.0983 0.2500 0.5421
Se3 Se 0.1355 0.7500 0.8087
```

---

(5)
For CuH8C2NCl3, a structure optimized by DFT (PBE) gives the simulated PXRD pattern in this record (CuKα).
Intensities are scaled so that the largest is 100.

The 12 most intense peaks (10° ≤ 2θ ≤ 90°), in order of rising 2θ:
Position (°2θ), Rel. int.
12.05, 62
12.45, 100
12.75, 54
18.53, 19
21.42, 21
24.82, 14
27.57, 73
32.22, 18
34.34, 28
42.17, 20
46.25, 17
51.10, 13

```
data_CuH8C2NCl3
_chemical_formula_sum 'Cu8 H64 C16 N8 Cl24'
_space_group_name_H-M_alt 'C 1 2/c 1'
_space_group_IT_number 15
_space_group_name_Hall '-C 2yc'
_cell_length_a 17.4227
_cell_length_b 8.5766
_cell_length_c 11.9140
_cell_angle_alpha 90.00
_cell_angle_beta 125.30
_cell_angle_gamma 90.00
loop_
_atom_site_label
_atom_site_type_symbol
_atom_site_fract_x
_atom_site_fract_y
_atom_site_fract_z
Cu1 Cu 0.0359 0.1215 0.4195
H1 H 0.0778 0.4683 0.1832
H2 H 0.1030 0.3312 0.8426
H3 H 0.1354 0.4007 0.3416
H4 H 0.1611 0.2862 0.7627
H5 H 0.1924 0.3037 0.2082
H6 H 0.2189 0.1064 0.6307
H7 H 0.2273 0.3634 0.9351
H8 H 0.2307 0.4988 0.2108
C1 C 0.1600 0.3649 0.8338
C2 C 0.2175 0.4132 0.2659
N1 N 0.1430 0.4739 0.2786
Cl1 Cl 0.0460 0.1384 0.9798
Cl2 Cl 0.0684 0.3795 0.4591
Cl3 Cl 0.1255 0.0827 0.3408
```